LuHgH: calculated powder diffractogram (Cu Ka), based on a DFT-relaxed cell (PBE, Alexandria).

Cell and atoms:
a = 6.8519 Å, b = 6.8519 Å, c = 6.8519 Å
α = 97.86°, β = 97.86°, γ = 97.86°
Atoms (fractional coordinates):
Lu 0.0947 0.6711 0.8379
Lu 0.1621 0.9053 0.3289
Lu 0.3289 0.1621 0.9053
Lu 0.6711 0.8379 0.0947
Lu 0.8379 0.0947 0.6711
Lu 0.9053 0.3289 0.1621
Hg 0.2087 0.3541 0.5427
Hg 0.3541 0.5427 0.2087
Hg 0.4573 0.7913 0.6459
Hg 0.5427 0.2087 0.3541
Hg 0.6459 0.4573 0.7913
Hg 0.7913 0.6459 0.4573
H 0.0470 0.2646 0.9110
H 0.0890 0.9530 0.7354
H 0.2646 0.9110 0.0470
H 0.7354 0.0890 0.9530
H 0.9110 0.0470 0.2646
H 0.9530 0.7354 0.0890

Top 8 peaks for 10° ≤ 2θ ≤ 80°, in order of falling intensity:
2theta	I/Imax
31.8	100.0
36.9	26.8
40.5	25.1
66.2	21.4
44.8	17.1
34.7	16.2
46.5	16.0
57.5	10.3